Entry 1:
Dy6YFe2Te2: theoretical PXRD pattern (CuKα), based on a PBE-relaxed structure.

The 10 most intense peaks (5° ≤ 2θ ≤ 70°), in order of rising 2θ:
d (Å)  I/Imax
3.586  248
2.941  450
2.695  803
2.651  1000
2.624  248
2.601  658
2.441  243
2.331  206
1.939  300
1.574  317

Cell and atoms:
```
Dy6YFe2Te2
1.0
-1.939 7.872 4.710
1.939 -7.872 4.710
1.939 7.872 -4.710
Dy Y Fe Te
6 1 2 2
direct
0.134 0.000 0.134
0.199 0.848 0.351
0.497 0.848 0.649
0.521 0.207 0.314
0.866 0.000 0.866
0.893 0.207 0.686
0.583 0.583 0.000
0.276 0.513 0.762
0.751 0.513 0.238
0.248 0.248 0.000
0.846 0.346 0.500
```

***

Entry 2:
DyYTlFe2: theoretical PXRD pattern (CuKα), based on a PBE-relaxed structure.

The 10 most intense peaks (5° ≤ 2θ ≤ 70°), in order of rising 2θ:
d (Å)  I/Imax
2.930  462
2.685  1000
2.606  740
2.237  310
1.977  214
1.895  187
1.639  172
1.604  156
1.533  289
1.482  165

Cell and atoms:
```
DyYTlFe2
1.0
3.955 0.000 0.000
0.000 1.895 6.927
0.000 -1.895 6.927
Dy Y Tl Fe
1 1 1 2
direct
0.000 0.000 0.000
0.000 0.722 0.722
0.500 0.361 0.361
0.500 0.150 0.150
0.500 0.570 0.570
```

***

Entry 3:
Dy2TmFe9: theoretical PXRD pattern (CuKα), based on a PBE-relaxed structure.

The 10 most intense peaks (5° ≤ 2θ ≤ 70°), in order of rising 2θ:
d (Å)  I/Imax
4.292  149
2.702  536
2.518  573
2.478  363
2.172  391
2.134  1000
1.487  174
1.446  135
1.367  226
1.351  132

Cell and atoms:
```
Dy2TmFe9
1.0
2.518 1.454 8.031
-2.518 1.454 8.031
0.000 -2.908 8.031
Dy Tm Fe
2 1 9
direct
0.142 0.142 0.142
0.858 0.858 0.858
0.000 0.000 0.000
0.082 0.581 0.581
0.333 0.333 0.333
0.419 0.419 0.918
0.419 0.918 0.419
0.500 0.500 0.500
0.581 0.082 0.581
0.581 0.581 0.082
0.667 0.667 0.667
0.918 0.419 0.419
```

***

Entry 4:
DyYFe2: theoretical PXRD pattern (CuKα), based on a PBE-relaxed structure.

The 10 most intense peaks (5° ≤ 2θ ≤ 70°), in order of rising 2θ:
d (Å)  I/Imax
2.890  977
2.696  1000
2.638  936
2.430  679
2.352  825
2.156  878
1.871  390
1.536  344
1.526  344
1.464  356

Cell and atoms:
```
DyYFe2
1.0
3.743 0.000 0.000
0.000 5.609 0.000
0.000 0.000 7.773
Dy Y Fe
2 2 4
direct
0.000 0.139 0.000
0.000 0.861 0.500
0.500 0.361 0.644
0.500 0.639 0.144
0.000 0.343 0.352
0.000 0.657 0.852
0.500 0.151 0.291
0.500 0.849 0.791
```

***

Entry 5:
DyGa2: theoretical PXRD pattern (CuKα), based on a PBE-relaxed structure.

The 10 most intense peaks (5° ≤ 2θ ≤ 70°), in order of rising 2θ:
d (Å)  I/Imax
3.649  145
2.721  1000
2.107  414
2.043  126
1.824  22
1.782  41
1.666  229
1.466  256
1.379  18
1.361  17

Cell and atoms:
```
DyGa2
1.0
4.213 0.000 0.000
-2.107 3.649 0.000
0.000 0.000 4.085
Dy Ga
1 2
direct
0.000 0.000 0.000
0.333 0.667 0.500
0.667 0.333 0.500
```

***

Entry 6:
Dy3Ga5: theoretical PXRD pattern (CuKα), based on a PBE-relaxed structure.

The 10 most intense peaks (5° ≤ 2θ ≤ 70°), in order of rising 2θ:
d (Å)  I/Imax
3.161  519
2.948  422
2.691  789
2.594  504
2.517  1000
2.465  753
2.417  859
2.384  823
2.175  656
1.697  349

Cell and atoms:
```
Dy3Ga5
1.0
11.464 0.000 0.000
0.000 9.669 0.000
0.000 0.000 6.100
Dy Ga
12 20
direct
0.074 0.250 0.151
0.148 0.510 0.610
0.148 0.990 0.610
0.352 0.010 0.110
0.352 0.490 0.110
0.426 0.750 0.651
0.574 0.250 0.349
0.648 0.510 0.890
0.648 0.990 0.890
0.852 0.010 0.390
0.852 0.490 0.390
0.926 0.750 0.849
0.005 0.250 0.629
0.091 0.553 0.126
0.091 0.947 0.126
0.201 0.750 0.898
0.248 0.750 0.326
0.252 0.250 0.826
0.299 0.250 0.398
0.409 0.053 0.626
0.409 0.447 0.626
0.495 0.750 0.129
0.505 0.250 0.871
0.591 0.553 0.374
0.591 0.947 0.374
0.701 0.750 0.602
0.748 0.750 0.174
0.752 0.250 0.674
0.799 0.250 0.102
0.909 0.053 0.874
0.909 0.447 0.874
0.995 0.750 0.371
```

***

Entry 7:
Gd2DyHoGa2: theoretical PXRD pattern (CuKα), based on a PBE-relaxed structure.

The 10 most intense peaks (5° ≤ 2θ ≤ 70°), in order of rising 2θ:
d (Å)  I/Imax
3.714  183
2.664  1000
2.591  949
2.125  41
2.040  40
1.857  347
1.655  82
1.509  352
1.496  175
1.395  275

Cell and atoms:
```
Gd2DyHoGa2
1.0
5.182 0.000 0.000
-2.591 4.488 0.000
0.000 0.000 6.619
Gd Dy Ho Ga
2 1 1 2
direct
0.000 0.000 0.249
0.000 0.000 0.751
0.667 0.333 0.500
0.333 0.667 0.000
0.333 0.667 0.500
0.667 0.333 0.000
```

***

Entry 8:
DyGaGe: theoretical PXRD pattern (CuKα), based on a PBE-relaxed structure.

The 10 most intense peaks (5° ≤ 2θ ≤ 70°), in order of rising 2θ:
d (Å)  I/Imax
3.614  156
2.720  1000
2.495  441
2.366  216
2.087  334
2.066  200
2.053  115
1.556  116
1.468  214
1.357  178

Cell and atoms:
```
DyGaGe
1.0
7.229 0.000 0.000
-3.614 6.260 0.000
0.000 0.000 4.132
Dy Ga Ge
3 3 3
direct
0.000 0.386 0.000
0.386 0.000 0.000
0.614 0.614 0.000
0.000 0.732 0.500
0.268 0.268 0.500
0.732 0.000 0.500
0.000 0.000 0.000
0.333 0.667 0.500
0.667 0.333 0.500
```

***

Entry 9:
Dy2Ho2GaNi2Ge4: theoretical PXRD pattern (CuKα), based on a PBE-relaxed structure.

The 10 most intense peaks (5° ≤ 2θ ≤ 70°), in order of rising 2θ:
d (Å)  I/Imax
3.191  214
2.664  765
2.571  1000
2.550  276
2.469  445
2.455  640
2.399  350
2.332  221
2.194  239
2.119  554

Cell and atoms:
```
Dy2Ho2GaNi2Ge4
1.0
7.663 -2.119 0.000
7.663 2.119 0.000
-2.171 0.000 6.581
Dy Ho Ga Ni Ge
2 2 1 2 4
direct
0.090 0.090 0.385
0.910 0.910 0.615
0.153 0.153 0.940
0.847 0.847 0.060
0.500 0.500 0.000
0.283 0.283 0.355
0.717 0.717 0.645
0.297 0.297 0.729
0.436 0.436 0.333
0.564 0.564 0.667
0.703 0.703 0.271
```

***

Entry 10:
TbDy2Ga3NiGe2: theoretical PXRD pattern (CuKα), based on a PBE-relaxed structure.

The 10 most intense peaks (5° ≤ 2θ ≤ 70°), in order of rising 2θ:
d (Å)  I/Imax
3.495  172
2.674  1000
2.446  607
2.288  355
2.076  242
2.018  195
2.004  132
1.556  219
1.537  202
1.447  131

Cell and atoms:
```
TbDy2Ga3NiGe2
1.0
4.152 0.000 0.000
0.000 6.054 3.494
0.000 -6.054 3.494
Tb Dy Ga Ni Ge
1 2 3 1 2
direct
0.000 0.000 0.000
0.000 0.201 0.601
0.000 0.601 0.201
0.500 0.372 0.372
0.500 0.600 0.829
0.500 0.829 0.600
0.000 0.600 0.600
0.500 0.268 0.934
0.500 0.934 0.268
```

***

Entry 11:
DyTm2Ga3NiGe2: theoretical PXRD pattern (CuKα), based on a PBE-relaxed structure.

The 10 most intense peaks (5° ≤ 2θ ≤ 70°), in order of rising 2θ:
d (Å)  I/Imax
3.470  181
2.655  1000
2.428  608
2.273  237
2.061  239
2.002  128
1.990  125
1.546  148
1.526  199
1.437  129

Cell and atoms:
```
DyTm2Ga3NiGe2
1.0
4.122 0.000 0.000
0.000 6.019 3.464
0.000 -6.019 3.464
Dy Tm Ga Ni Ge
1 2 3 1 2
direct
0.000 0.000 0.000
0.000 0.200 0.600
0.000 0.600 0.200
0.500 0.369 0.369
0.500 0.598 0.829
0.500 0.829 0.598
0.000 0.597 0.597
0.500 0.268 0.932
0.500 0.932 0.268
```

***

Entry 12:
Dy2Ga3Hg3: theoretical PXRD pattern (CuKα), based on a PBE-relaxed structure.

The 10 most intense peaks (5° ≤ 2θ ≤ 70°), in order of rising 2θ:
d (Å)  I/Imax
5.649  48
4.760  126
2.825  325
2.429  1000
2.380  205
1.820  184
1.631  185
1.383  172
1.354  154
1.345  195

Cell and atoms:
```
Dy2Ga3Hg3
1.0
6.523 0.000 0.000
-3.262 5.649 0.000
0.000 0.000 4.760
Dy Ga Hg
2 3 3
direct
0.000 0.000 0.000
0.333 0.667 0.500
0.514 0.027 0.000
0.514 0.486 0.000
0.973 0.486 0.000
0.342 0.171 0.500
0.829 0.171 0.500
0.829 0.658 0.500
```